# 1
Diffraction record for K3Hg2Pb. The powder X-ray diffraction pattern is computed, not measured: it uses a structure optimized by DFT (PBE) and a wavelength of 1.5418 Å.

Top 10 peaks for 5 to 70 degrees two-theta, in order of falling intensity:
hkl, two_theta, I/Imax
3 1 1, 34.6, 100
0 2 3, 30.6, 96
1 0 -4, 32.0, 91
0 0 2, 16.3, 77
1 1 1, 17.0, 66
0 2 1, 19.7, 64
1 0 0, 10.0, 57
1 1 -2, 19.1, 49
1 1 0, 13.4, 47
2 0 0, 20.0, 47

Structural model:
Lattice parameters (Å, degrees): 9.147 9.898 11.216 90.00 104.46 90.00
Space group P2_1/c (No. 14)
Symmetry-distinct sites (fractional):
K 0.164 0.220 0.139 x4
K 0.267 0.533 0.401 x4
K 0.332 0.610 0.038 x4
Hg 0.013 0.061 0.373 x4
Hg 0.453 0.617 0.744 x4
Pb 0.115 0.652 0.693 x4

# 2
Diffraction record for K6HgPb2. The powder X-ray diffraction pattern is computed, not measured: it uses a structure optimized by DFT (PBE) and a wavelength of 1.5418 Å.

Top 10 peaks for 5 to 70 degrees two-theta, in order of falling intensity:
hkl, two_theta, I/Imax
2 0 -1, 16.1, 100
1 1 -1, 17.4, 52
3 1 -1, 27.3, 38
3 1 -2, 29.6, 35
0 2 0, 28.6, 34
1 1 3, 30.8, 31
0 0 4, 33.0, 30
0 0 1, 8.1, 28
3 1 2, 34.4, 20
4 0 2, 38.3, 16

Structural model:
Lattice parameters (Å, degrees): 11.630 6.245 11.071 90.00 100.97 90.00
Space group C2/m (No. 12)
Symmetry-distinct sites (fractional):
K 0.033 0.000 0.226 x4
K 0.175 0.500 0.081 x4
K 0.208 0.000 0.574 x4
Hg 0.000 0.500 0.500 x2
Pb 0.141 0.500 0.748 x4